No. 1
This entry pairs a crystal structure of Pu8NiRh5 with its calculated X-ray diffraction stick pattern. Radiation: Cu Kα. Structure: a structure optimized by DFT (GGA-PBE).
Intensities are scaled so that the largest is 100.

Atomic structure:
Cell: 8.5032 8.5032 8.4521 Å, 90.00 90.00 90.00°
Space group I-4 (No. 82)
Symmetry-distinct sites (fractional):
Pu: 0.0677 0.3207 0.4479
Pu: 0.0705 0.1824 0.8052
Ni: 0.0000 0.5000 0.7500
Rh: 0.0000 0.0000 0.5000
Rh: 0.1255 0.2482 0.1274

Principal peaks in the range 2θ = 5–70°, most intense first:
2.688 Å, 33.3 deg, I = 100, (1 3 0); 2.270 Å, 39.7 deg, I = 63, (3 2 1); 2.674 Å, 33.5 deg, I = 48, (1 0 3); 2.264 Å, 39.8 deg, I = 36, (2 1 3); 3.464 Å, 25.7 deg, I = 31, (1 2 1); 1.663 Å, 55.2 deg, I = 28, (1 4 3); 1.734 Å, 52.8 deg, I = 23, (2 4 2); 3.001 Å, 29.8 deg, I = 22, (2 2 0); 1.379 Å, 68.0 deg, I = 22, (1 6 1); 1.667 Å, 55.1 deg, I = 21, (4 3 1)

***

No. 2
This entry pairs a crystal structure of RbMg2Cl5 with its calculated X-ray diffraction stick pattern. Radiation: Cu Kα. Structure: a structure optimized by DFT (GGA-PBE).
Intensities are scaled so that the largest is 100.

Atomic structure:
Cell: 5.3340 11.9842 12.8520 Å, 90.00 90.00 90.00°
Space group Cmcm (No. 63)
Symmetry-distinct sites (fractional):
Rb: 0.0000 0.0145 0.2500
Mg: 0.0000 0.3548 0.0555
Cl: 0.0000 0.1684 0.5342
Cl: 0.0000 0.2954 0.2500
Cl: 0.0000 0.4505 0.6157

Principal peaks in the range 2θ = 5–70°, most intense first:
2.682 Å, 33.4 deg, I = 100, (1 1 4); 2.863 Å, 31.2 deg, I = 99, (1 3 2); 2.667 Å, 33.6 deg, I = 97, (2 0 0); 4.382 Å, 20.3 deg, I = 59, (0 2 2); 3.883 Å, 22.9 deg, I = 58, (1 1 2); 2.715 Å, 33.0 deg, I = 50, (0 4 2); 3.216 Å, 27.7 deg, I = 46, (0 0 4); 2.918 Å, 30.6 deg, I = 43, (0 4 1); 1.903 Å, 47.8 deg, I = 33, (2 4 2); 2.266 Å, 39.8 deg, I = 30, (1 3 4)